This entry pairs a crystal structure of Pm2Zr2S7 with its theoretical powder diffraction line list. Radiation: Cu Kα (weighted mean of Kα1 and Kα2). Structure: a DFT-relaxed cell (GGA-PBE, Alexandria).
Intensities are scaled so that the largest is 1000.

Most intense lines, 10° ≤ 2θ ≤ 90°, in order of rising 2θ:
2θ/deg	I/Imax
24.53	1000
25.30	530
25.74	344
28.45	703
36.41	957
36.95	308
41.55	565
47.05	455

```
data_Pm2Zr2S7
_cell_length_a 8.3544
_cell_length_b 8.3544
_cell_length_c 8.3544
_cell_angle_alpha 153.25
_cell_angle_beta 68.13
_cell_angle_gamma 118.66
_space_group_name_H-M_alt 'P 1'
_space_group_IT_number 1
loop_
_space_group_symop_operation_xyz
'x,y,z'
loop_
_atom_site_label
_atom_site_type_symbol
_atom_site_fract_x
_atom_site_fract_y
_atom_site_fract_z
Pm1 Pm 0.2290 0.0000 0.2290
Pm2 Pm 0.7710 0.0000 0.7710
Zr1 Zr 0.2641 0.2641 0.0000
Zr2 Zr 0.7024 0.2024 0.5000
S1 S 0.0867 0.7123 0.3744
S2 S 0.3379 0.7123 0.6256
S3 S 0.4218 0.5245 0.8973
S4 S 0.6140 0.2929 0.3211
S5 S 0.6272 0.5245 0.1027
S6 S 0.9245 0.9245 0.0000
S7 S 0.9718 0.2929 0.6789
```



This entry pairs a crystal structure of Sc2Te3 with its theoretical powder diffraction line list. Radiation: Cu Kα (weighted mean of Kα1 and Kα2). Structure: a DFT-relaxed cell (GGA-PBE, Alexandria).
Intensities are scaled so that the largest is 1000.

Most intense lines, 10° ≤ 2θ ≤ 90°, in order of rising 2θ:
2θ/deg	I/Imax
25.49	296
27.31	407
28.63	1000
33.81	225
43.66	421
45.21	277
51.24	219
53.05	189

```
data_Sc2Te3
_cell_length_a 10.7485
_cell_length_b 10.7485
_cell_length_c 10.7485
_cell_angle_alpha 22.24
_cell_angle_beta 22.24
_cell_angle_gamma 22.24
_space_group_name_H-M_alt 'P 1'
_space_group_IT_number 1
loop_
_space_group_symop_operation_xyz
'x,y,z'
loop_
_atom_site_label
_atom_site_type_symbol
_atom_site_fract_x
_atom_site_fract_y
_atom_site_fract_z
Sc1 Sc 0.1059 0.1059 0.1059
Sc2 Sc 0.8941 0.8941 0.8941
Te1 Te 0.2765 0.2765 0.2765
Te2 Te 0.5000 0.5000 0.5000
Te3 Te 0.7235 0.7235 0.7235
```



This entry pairs a crystal structure of CdP2 with its theoretical powder diffraction line list. Radiation: Cu Kα (weighted mean of Kα1 and Kα2). Structure: a DFT-relaxed cell (GGA-PBE, Alexandria).
Intensities are scaled so that the largest is 1000.

Most intense lines, 10° ≤ 2θ ≤ 90°, in order of rising 2θ:
2θ/deg	I/Imax
23.92	346
24.36	1000
25.15	871
27.84	248
33.78	274
38.67	367
46.71	481
54.60	224

```
data_CdP2
_cell_length_a 5.3538
_cell_length_b 5.3538
_cell_length_c 19.9973
_cell_angle_alpha 90.00
_cell_angle_beta 90.00
_cell_angle_gamma 90.00
_space_group_name_H-M_alt 'P 1'
_space_group_IT_number 1
loop_
_space_group_symop_operation_xyz
'x,y,z'
loop_
_atom_site_label
_atom_site_type_symbol
_atom_site_fract_x
_atom_site_fract_y
_atom_site_fract_z
Cd1 Cd 0.1275 0.3471 0.2016
Cd2 Cd 0.1529 0.6275 0.9516
Cd3 Cd 0.3471 0.1275 0.7984
Cd4 Cd 0.3725 0.8471 0.5484
Cd5 Cd 0.6275 0.1529 0.0484
Cd6 Cd 0.6529 0.8725 0.2984
Cd7 Cd 0.8471 0.3725 0.4516
Cd8 Cd 0.8725 0.6529 0.7016
P1 P 0.0194 0.0237 0.6259
P2 P 0.0237 0.0194 0.3741
P3 P 0.1925 0.7132 0.4345
P4 P 0.2132 0.3075 0.6845
P5 P 0.2868 0.8075 0.0655
P6 P 0.3075 0.2132 0.3155
P7 P 0.4763 0.5194 0.3759
P8 P 0.4806 0.5237 0.1241
P9 P 0.5194 0.4763 0.6241
P10 P 0.5237 0.4806 0.8759
P11 P 0.6925 0.7868 0.8155
P12 P 0.7132 0.1925 0.5655
P13 P 0.7868 0.6925 0.1845
P14 P 0.8075 0.2868 0.9345
P15 P 0.9763 0.9806 0.8741
P16 P 0.9806 0.9763 0.1259
```



This entry pairs a crystal structure of La3RhSe2 with its theoretical powder diffraction line list. Radiation: Cu Kα (weighted mean of Kα1 and Kα2). Structure: a DFT-relaxed cell (GGA-PBE, Alexandria).
Intensities are scaled so that the largest is 1000.

Most intense lines, 10° ≤ 2θ ≤ 90°, in order of rising 2θ:
2θ/deg	I/Imax
28.60	1000
30.34	403
40.89	388
42.18	636
51.76	346
67.06	172
67.99	154
75.36	229

```
data_La3RhSe2
_cell_length_a 9.3728
_cell_length_b 9.3728
_cell_length_c 9.3728
_cell_angle_alpha 152.77
_cell_angle_beta 152.77
_cell_angle_gamma 38.90
_space_group_name_H-M_alt 'P 1'
_space_group_IT_number 1
loop_
_space_group_symop_operation_xyz
'x,y,z'
loop_
_atom_site_label
_atom_site_type_symbol
_atom_site_fract_x
_atom_site_fract_y
_atom_site_fract_z
La1 La 0.0000 0.0000 0.0000
La2 La 0.3455 0.3455 0.0000
La3 La 0.6545 0.6545 0.0000
Rh1 Rh 0.5000 0.5000 0.0000
Se1 Se 0.1709 0.1709 0.0000
Se2 Se 0.8291 0.8291 0.0000
```



This entry pairs a crystal structure of YSN with its theoretical powder diffraction line list. Radiation: Cu Kα (weighted mean of Kα1 and Kα2). Structure: a DFT-relaxed cell (GGA-PBE, Alexandria).
Intensities are scaled so that the largest is 1000.

Most intense lines, 10° ≤ 2θ ≤ 90°, in order of rising 2θ:
2θ/deg	I/Imax
22.06	1000
22.95	340
24.46	867
32.31	746
33.61	818
36.60	391
36.77	366
43.38	402

```
data_YSN
_cell_length_a 4.0813
_cell_length_b 5.2469
_cell_length_c 5.6290
_cell_angle_alpha 79.84
_cell_angle_beta 87.07
_cell_angle_gamma 71.73
_space_group_name_H-M_alt 'P 1'
_space_group_IT_number 1
loop_
_space_group_symop_operation_xyz
'x,y,z'
loop_
_atom_site_label
_atom_site_type_symbol
_atom_site_fract_x
_atom_site_fract_y
_atom_site_fract_z
Y1 Y 0.1744 0.2449 0.2277
Y2 Y 0.8256 0.7551 0.7723
S1 S 0.1669 0.1640 0.7222
S2 S 0.8331 0.8360 0.2778
N1 N 0.3839 0.5498 0.9239
N2 N 0.6161 0.4502 0.0761
```



This entry pairs a crystal structure of Pu3BeSi3 with its theoretical powder diffraction line list. Radiation: Cu Kα (weighted mean of Kα1 and Kα2). Structure: a DFT-relaxed cell (GGA-PBE, Alexandria).
Intensities are scaled so that the largest is 1000.

Most intense lines, 10° ≤ 2θ ≤ 90°, in order of rising 2θ:
2θ/deg	I/Imax
21.96	250
28.03	445
30.67	145
33.51	1000
43.51	125
52.55	177
53.11	173
59.67	162

```
data_Pu3BeSi3
_cell_length_a 9.1874
_cell_length_b 9.1874
_cell_length_c 9.1874
_cell_angle_alpha 156.13
_cell_angle_beta 153.83
_cell_angle_gamma 35.72
_space_group_name_H-M_alt 'P 1'
_space_group_IT_number 1
loop_
_space_group_symop_operation_xyz
'x,y,z'
loop_
_atom_site_label
_atom_site_type_symbol
_atom_site_fract_x
_atom_site_fract_y
_atom_site_fract_z
Pu1 Pu 0.0000 0.0000 0.0000
Pu2 Pu 0.1866 0.6866 0.5000
Pu3 Pu 0.3794 0.3794 0.0000
Be1 Be 0.6211 0.1211 0.5000
Si1 Si 0.5558 0.5558 0.0000
Si2 Si 0.7459 0.2459 0.5000
Si3 Si 0.8271 0.8271 0.0000
```



This entry pairs a crystal structure of YTm3Pb5 with its theoretical powder diffraction line list. Radiation: Cu Kα (weighted mean of Kα1 and Kα2). Structure: a DFT-relaxed cell (GGA-PBE, Alexandria).
Intensities are scaled so that the largest is 1000.

Most intense lines, 10° ≤ 2θ ≤ 90°, in order of rising 2θ:
2θ/deg	I/Imax
31.94	389
32.73	957
33.33	1000
42.03	156
47.41	295
58.80	247
61.43	136
66.74	258

```
data_YTm3Pb5
_cell_length_a 9.4788
_cell_length_b 9.4788
_cell_length_c 6.5273
_cell_angle_alpha 90.00
_cell_angle_beta 90.00
_cell_angle_gamma 120.00
_space_group_name_H-M_alt 'P 1'
_space_group_IT_number 1
loop_
_space_group_symop_operation_xyz
'x,y,z'
loop_
_atom_site_label
_atom_site_type_symbol
_atom_site_fract_x
_atom_site_fract_y
_atom_site_fract_z
Y1 Y 0.0000 0.0000 0.0000
Y2 Y 0.0000 0.0000 0.5000
Tm1 Tm 0.0000 0.3799 0.2500
Tm2 Tm 0.0000 0.6201 0.7500
Tm3 Tm 0.3799 0.0000 0.2500
Tm4 Tm 0.3799 0.3799 0.7500
Tm5 Tm 0.6201 0.0000 0.7500
Tm6 Tm 0.6201 0.6201 0.2500
Pb1 Pb 0.0000 0.2912 0.7500
Pb2 Pb 0.0000 0.7088 0.2500
Pb3 Pb 0.2912 0.0000 0.7500
Pb4 Pb 0.2912 0.2912 0.2500
Pb5 Pb 0.3333 0.6667 0.0000
Pb6 Pb 0.3333 0.6667 0.5000
Pb7 Pb 0.6667 0.3333 0.0000
Pb8 Pb 0.6667 0.3333 0.5000
Pb9 Pb 0.7088 0.0000 0.2500
Pb10 Pb 0.7088 0.7088 0.7500
```



This entry pairs a crystal structure of Tm3Si2Ni9Sn with its theoretical powder diffraction line list. Radiation: Cu Kα (weighted mean of Kα1 and Kα2). Structure: a DFT-relaxed cell (GGA-PBE, Alexandria).
Intensities are scaled so that the largest is 1000.

Most intense lines, 10° ≤ 2θ ≤ 90°, in order of rising 2θ:
2θ/deg	I/Imax
21.38	257
25.54	811
31.34	269
32.25	305
34.66	331
41.09	681
43.55	1000
73.14	271

```
data_Tm3Si2Ni9Sn
_cell_length_a 5.1757
_cell_length_b 5.1757
_cell_length_c 11.1029
_cell_angle_alpha 90.00
_cell_angle_beta 90.00
_cell_angle_gamma 120.00
_space_group_name_H-M_alt 'P 1'
_space_group_IT_number 1
loop_
_space_group_symop_operation_xyz
'x,y,z'
loop_
_atom_site_label
_atom_site_type_symbol
_atom_site_fract_x
_atom_site_fract_y
_atom_site_fract_z
Tm1 Tm 0.0000 0.0000 0.0000
Tm2 Tm 0.3333 0.6667 0.7722
Tm3 Tm 0.6667 0.3333 0.2278
Si1 Si 0.3333 0.6667 0.1591
Si2 Si 0.6667 0.3333 0.8409
Ni1 Ni 0.0000 0.5000 0.0000
Ni2 Ni 0.1647 0.3294 0.3124
Ni3 Ni 0.1647 0.8353 0.3124
Ni4 Ni 0.3294 0.1647 0.6876
Ni5 Ni 0.5000 0.0000 0.0000
Ni6 Ni 0.5000 0.5000 0.0000
Ni7 Ni 0.6706 0.8353 0.3124
Ni8 Ni 0.8353 0.1647 0.6876
Ni9 Ni 0.8353 0.6706 0.6876
Sn1 Sn 0.0000 0.0000 0.5000
```



This entry pairs a crystal structure of LaTb6Th2 with its theoretical powder diffraction line list. Radiation: Cu Kα (weighted mean of Kα1 and Kα2). Structure: a DFT-relaxed cell (GGA-PBE, Alexandria).
Intensities are scaled so that the largest is 1000.

Most intense lines, 10° ≤ 2θ ≤ 90°, in order of rising 2θ:
2θ/deg	I/Imax
31.28	851
31.44	1000
40.82	166
44.95	316
55.88	334
55.98	198
62.13	289
80.00	142

```
data_LaTb6Th2
_cell_length_a 11.9703
_cell_length_b 11.9703
_cell_length_c 11.9703
_cell_angle_alpha 152.48
_cell_angle_beta 56.74
_cell_angle_gamma 131.43
_space_group_name_H-M_alt 'P 1'
_space_group_IT_number 1
loop_
_space_group_symop_operation_xyz
'x,y,z'
loop_
_atom_site_label
_atom_site_type_symbol
_atom_site_fract_x
_atom_site_fract_y
_atom_site_fract_z
La1 La 0.2497 0.9997 0.2500
La2 La 0.7503 0.0003 0.7500
Tb1 Tb 0.0006 0.6666 0.3340
Tb2 Tb 0.0825 0.9999 0.0826
Tb3 Tb 0.1674 0.3334 0.8340
Tb4 Tb 0.3329 0.6668 0.6661
Tb5 Tb 0.4173 0.9999 0.4174
Tb6 Tb 0.4993 0.3332 0.1661
Tb7 Tb 0.5007 0.6668 0.8339
Tb8 Tb 0.5827 0.0001 0.5826
Tb9 Tb 0.6671 0.3332 0.3339
Tb10 Tb 0.8326 0.6666 0.1660
Tb11 Tb 0.9175 0.0001 0.9174
Tb12 Tb 0.9994 0.3334 0.6660
Th1 Th 0.1668 0.6667 0.5001
Th2 Th 0.3334 0.3333 0.0001
Th3 Th 0.6666 0.6667 0.9999
Th4 Th 0.8332 0.3333 0.4999
```